1.
For CsThPaS6, a DFT-relaxed cell (GGA-PBE, Alexandria) gives the theoretical powder X-ray diffraction pattern in this record (Cu Ka).

Structure:
abc: 9.025 10.473 11.177
angles: 90.00 90.00 90.00
Space group Imma (No. 74)
Asymmetric unit:
Cs  0.000  0.250  0.179 [4 per cell]
Th  0.250  0.250  0.750 [4 per cell]
Pa  0.000  0.000  0.500 [4 per cell]
S  0.000  0.250  0.563 [4 per cell]
S  0.000  0.250  0.879 [4 per cell]
S  0.237  0.007  0.365 [16 per cell]

Most intense lines, 2θ from 15° to 90°, low angle first:
- (1 2 1), d = 4.198 Å, 21.16°, rel. 85
- (2 1 1), d = 3.886 Å, 22.89°, rel. 79
- (0 2 2), d = 3.821 Å, 23.28°, rel. 100
- (2 0 2), d = 3.511 Å, 25.37°, rel. 64
- (1 0 3), d = 3.444 Å, 25.87°, rel. 47
- (2 1 3), d = 2.771 Å, 32.31°, rel. 36
- (2 3 1), d = 2.681 Å, 33.43°, rel. 34
- (0 4 0), d = 2.618 Å, 34.25°, rel. 48
- (2 2 4), d = 2.163 Å, 41.75°, rel. 78
- (4 2 2), d = 1.943 Å, 46.75°, rel. 36

***

2.
For V6RuW3, a DFT-relaxed cell (GGA-PBE, Alexandria) gives the theoretical powder X-ray diffraction pattern in this record (Cu Ka).

Structure:
abc: 7.482 4.315 9.163
angles: 90.00 105.91 90.00
Space group P2_1/m (No. 11)
Asymmetric unit:
V  0.048  0.250  0.398 [2 per cell]
V  0.146  0.750  0.198 [2 per cell]
V  0.149  0.250  0.701 [2 per cell]
V  0.246  0.250  0.998 [2 per cell]
V  0.347  0.750  0.802 [2 per cell]
V  0.450  0.250  0.602 [2 per cell]
Ru  0.051  0.750  0.900 [2 per cell]
W  0.246  0.750  0.501 [2 per cell]
W  0.349  0.250  0.299 [2 per cell]
W  0.451  0.750  0.101 [2 per cell]

Most intense lines, 2θ from 15° to 90°, low angle first:
- (1 0 1), d = 4.948 Å, 17.93°, rel. 3
- (2 0 1), d = 3.053 Å, 29.26°, rel. 29
- (1 1 3), d = 2.159 Å, 41.85°, rel. 100
- (2 2 1), d = 1.762 Å, 51.88°, rel. 8
- (2 2 -4), d = 1.526 Å, 60.67°, rel. 16
- (4 2 -3), d = 1.366 Å, 68.70°, rel. 4
- (3 1 4), d = 1.365 Å, 68.79°, rel. 8
- (5 1 -5), d = 1.248 Å, 76.32°, rel. 6
- (3 3 -1), d = 1.246 Å, 76.42°, rel. 13
- (1 3 3), d = 1.245 Å, 76.48°, rel. 14

***

3.
For Sm6Ga3Ir, a DFT-relaxed cell (GGA-PBE, Alexandria) gives the theoretical powder X-ray diffraction pattern in this record (Cu Ka).

Structure:
abc: 8.817 11.733 5.134
angles: 90.00 90.00 90.00
Space group Pnnm (No. 58)
Asymmetric unit:
Sm  0.004  0.247  0.000 [4 per cell]
Sm  0.158  0.086  0.500 [4 per cell]
Sm  0.181  0.420  0.500 [4 per cell]
Ga  0.000  0.500  0.000 [2 per cell]
Ga  0.160  0.731  0.500 [4 per cell]
Ir  0.000  0.000  0.000 [2 per cell]

Most intense lines, 2θ from 15° to 90°, low angle first:
- (1 3 1), d = 2.931 Å, 30.49°, rel. 100
- (0 0 2), d = 2.567 Å, 34.95°, rel. 46
- (3 0 1), d = 2.551 Å, 35.19°, rel. 89
- (2 4 0), d = 2.445 Å, 36.76°, rel. 58
- (2 3 2), d = 1.930 Å, 47.09°, rel. 21
- (2 4 2), d = 1.769 Å, 51.66°, rel. 15
- (3 6 1), d = 1.552 Å, 59.57°, rel. 12
- (3 0 3), d = 1.479 Å, 62.84°, rel. 17
- (2 8 0), d = 1.392 Å, 67.25°, rel. 11
- (6 0 2), d = 1.275 Å, 74.39°, rel. 10